(1)
This entry pairs a crystal structure of Cs6Rb9H with its theoretical X-ray diffraction stick pattern. Radiation: Cu Kα (weighted mean of Kα1 and Kα2). Structure: DFT lattice parameters and positions (PBE).
Neutral-atom scattering factors, no anomalous dispersion.

Crystal structure
```
Cs6Rb9H
1.0
-5.6462 5.6462 11.0502
5.6462 -5.6462 11.0502
5.6462 5.6462 -11.0502
Cs Rb H
6 9 1
direct
0.0952 0.7174 0.8127
0.1528 0.1528 0.0000
0.2826 0.0952 0.3778
0.7174 0.9048 0.6222
0.8472 0.8472 0.0000
0.9048 0.2826 0.1873
0.0337 0.2437 0.6194
0.2437 0.6243 0.2100
0.3757 0.5857 0.6194
0.4143 0.0337 0.7900
0.5000 0.5000 0.0000
0.5857 0.9663 0.2100
0.6243 0.4143 0.3806
0.7563 0.3757 0.7900
0.9663 0.7563 0.3806
0.0000 0.0000 0.0000
```

Largest 10 diffraction maxima, sorted by position, 10 to 90 degrees two-theta:
Position (°2θ), I (rel.)
21.33, 100
24.16, 18
24.93, 34
35.00, 27
35.55, 13
40.86, 16
41.84, 31
43.45, 13
55.26, 12
63.49, 8

---

(2)
This entry pairs a crystal structure of Cs4RbH5 with its theoretical X-ray diffraction stick pattern. Radiation: Cu Kα (weighted mean of Kα1 and Kα2). Structure: DFT lattice parameters and positions (PBE).
Neutral-atom scattering factors, no anomalous dispersion.

Crystal structure
```
Cs4RbH5
1.0
2.2235 1.2838 18.1963
-2.2235 1.2838 18.1963
0.0000 -2.5675 18.1963
Cs Rb H
4 1 5
direct
0.1020 0.1020 0.1020
0.2993 0.2993 0.2993
0.7007 0.7007 0.7007
0.8980 0.8980 0.8980
0.5000 0.5000 0.5000
0.0000 0.0000 0.0000
0.1972 0.1972 0.1972
0.4013 0.4013 0.4013
0.5987 0.5987 0.5987
0.8028 0.8028 0.8028
```

Largest 10 diffraction maxima, sorted by position, 10 to 90 degrees two-theta:
Position (°2θ), I (rel.)
24.50, 100
28.36, 55
40.54, 40
47.94, 47
50.24, 11
58.67, 7
64.57, 15
66.43, 18
73.79, 10
79.08, 11